This entry pairs a crystal structure of CrCoN2F with its calculated X-ray powder pattern. Radiation: copper Kα. Structure: a structure optimized by DFT (PBE+U).
Kinematic intensities with the Lorentz-polarization factor, no thermal factor.

Most intense lines, 10° ≤ 2θ ≤ 90°, by intensity:
| 2theta | Rel. int. | (hkl) |
| --- | --- | --- |
| 33.13 | 100 | 1 0 1 |
| 32.77 | 66 | 1 1 0 |
| 47.03 | 48 | 2 0 0 |
| 58.73 | 35 | 2 1 1 |
| 69.54 | 25 | 2 0 2 |
| 48.10 | 22 | 0 0 2 |
| 59.42 | 22 | 1 1 2 |
| 40.73 | 17 | 1 1 1 |
| 68.70 | 13 | 2 2 0 |
| 88.21 | 12 | 2 2 2 |
| 78.22 | 9 | 3 1 0 |
| 78.42 | 7 | 3 0 1 |

Lattice parameters (Å, degrees): 3.8646 3.8646 3.7837 90.00 90.00 90.00
Fractional positions:
Cr: 0.0000 0.0000 0.0000
Co: 0.5000 0.5000 0.5000
N: 0.0000 0.5000 0.0000
N: 0.5000 0.0000 0.0000
F: 0.0000 0.0000 0.5000